The following is a calculated X-ray powder pattern of CaMgCd. It was derived from a DFT-relaxed cell (PBE, the Materials Project), using Cu Kα (weighted mean of Kα1 and Kα2).
Intensities are scaled so that the largest is 100.

Most intense lines, 2θ = 15–90°, low angle first:
- (0 1 1), 16.92 deg, I 44
- (0 0 2), 17.08 deg, I 71
- (0 1 3), 29.72 deg, I 54
- (3 0 2), 31.64 deg, I 69
- (2 2 0), 34.46 deg, I 100
- (2 1 3), 34.72 deg, I 94
- (1 2 2), 35.38 deg, I 69
- (4 0 0), 35.54 deg, I 45
- (2 2 2), 38.71 deg, I 56
- (4 0 2), 39.65 deg, I 50

Atomic structure:
Lattice parameters (Å, degrees): 10.1038 6.0728 10.3798 90.00 90.00 90.00
Space group Amm2 (No. 38)
Unique sites:
Ca1 0.1869 0.0000 0.0000
Ca2 0.3053 0.0000 0.6668
Mg1 0.0000 0.0000 0.4972
Mg2 0.5000 0.0000 0.1642
Mg3 0.5000 0.2481 0.9166
Cd1 0.0000 0.2447 0.7462
Cd2 0.2523 0.0000 0.3342